Starting from a GGA-PBE-relaxed structure, the powder diffraction line list of SrCaZrSnO6 was simulated for Cu Kα, 1.54184 Å.

Unit cell a=5.842 b=5.842 c=5.842 alpha=60.00 beta=60.00 gamma=60.00
Sites, in units of the cell vectors:
1 Sr 0.000 0.000 0.000
2 Ca 0.500 0.500 0.500
3 Zr 0.250 0.250 0.250
4 Sn 0.750 0.750 0.750
5 O 0.502 0.502 0.998
6 O 0.502 0.998 0.502
7 O 0.502 0.998 0.998
8 O 0.998 0.502 0.502
9 O 0.998 0.502 0.998
10 O 0.998 0.998 0.502

Peak list (12 most intense, 2θ = 5–70°, low angle first)
Position (°2θ)	d_spacing	intensity
18.60	4.770	6
21.51	4.131	18
30.60	2.921	100
36.05	2.491	4
43.83	2.066	37
48.00	1.895	2
49.33	1.847	7
54.40	1.687	40
58.00	1.590	2
63.72	1.461	22
67.01	1.397	2
68.09	1.377	3